For Mg6CrCO8, the PBE+U geometry in the Materials Project gives the theoretical powder diffraction line list in this record (Cu Kα).
Peak positions follow from Bragg's law for the DFT cell and can differ from measured ones.

Most intense lines, 10 to 80 degrees two-theta, sorted by position:
2θ/deg, d_spacing, I_rel, (hkl)
23.50, 3.785, 223, 1 0 1
31.91, 2.804, 124, 1 1 1
36.43, 2.466, 219, 1 1 2
40.21, 2.243, 597, 0 0 4
43.34, 2.088, 1000, 2 0 0
60.60, 1.528, 588, 2 0 4
62.96, 1.476, 273, 2 2 0
77.40, 1.233, 253, 2 2 4

```
Mg6CrCO8
1.0
4.1754 0.0000 0.0000
0.0000 4.1754 0.0000
0.0000 0.0000 8.9705
Mg Cr C O
6 1 1 8
Direct
0.0000 0.0000 0.0000
0.0000 0.0000 0.5000
0.0000 0.5000 0.2400
0.0000 0.5000 0.7600
0.5000 0.0000 0.2400
0.5000 0.0000 0.7600
0.5000 0.5000 0.5000
0.5000 0.5000 0.0000
0.0000 0.0000 0.2469
0.0000 0.0000 0.7531
0.0000 0.5000 0.0000
0.0000 0.5000 0.5000
0.5000 0.0000 0.0000
0.5000 0.0000 0.5000
0.5000 0.5000 0.2786
0.5000 0.5000 0.7214
```

=====

For Na4CrC6N6O10, the PBE+U geometry in the Materials Project gives the theoretical powder diffraction line list in this record (Cu Kα).
Peak positions follow from Bragg's law for the DFT cell and can differ from measured ones.

Most intense lines, 10 to 80 degrees two-theta, sorted by position:
2θ/deg, d_spacing, I_rel, (hkl)
12.47, 7.097, 897, 0 1 1
14.12, 6.271, 460, 1 0 -2
19.29, 4.601, 656, 2 0 -2
22.13, 4.017, 904, 2 1 -1
26.91, 3.314, 980, 1 3 -1
29.39, 3.039, 1000, 0 1 3
29.59, 3.019, 585, 3 0 -2
32.77, 2.733, 390, 3 1 -4

```
Na4CrC6N6O10
1.0
9.2584 0.0000 0.0000
0.0000 10.6560 0.0000
-8.1838 0.0000 9.5134
Na Cr C N O
8 2 12 12 20
Direct
0.0839 0.1666 0.0970
0.0839 0.3334 0.5970
0.2135 0.6327 0.7957
0.2135 0.8673 0.2957
0.7865 0.1327 0.7043
0.7865 0.3673 0.2043
0.9161 0.6666 0.4030
0.9161 0.8334 0.9030
0.5000 0.0000 0.0000
0.5000 0.5000 0.5000
0.2428 0.0244 0.9569
0.2428 0.4756 0.4569
0.3530 0.5120 0.2856
0.3530 0.9880 0.7856
0.4921 0.6913 0.5229
0.4921 0.8087 0.0229
0.5079 0.1913 0.9771
0.5079 0.3087 0.4771
0.6470 0.0120 0.2144
0.6470 0.4880 0.7144
0.7572 0.5244 0.5431
0.7572 0.9756 0.0431
0.0963 0.0381 0.9300
0.0963 0.4619 0.4300
0.2752 0.5122 0.1647
0.2752 0.9878 0.6647
0.4768 0.6995 0.0264
0.4768 0.8005 0.5264
0.5232 0.1995 0.4736
0.5232 0.3005 0.9736
0.7248 0.0122 0.3353
0.7248 0.4878 0.8353
0.9037 0.5381 0.5700
0.9037 0.9619 0.0700
0.0505 0.1709 0.3060
0.0505 0.3291 0.8060
0.0901 0.0680 0.3648
0.0901 0.4320 0.8648
0.1963 0.7353 0.6200
0.1963 0.7647 0.1200
0.3144 0.1964 0.6284
0.3144 0.3036 0.1284
0.3458 0.0668 0.3081
0.3458 0.4332 0.8081
0.6542 0.5668 0.1919
0.6542 0.9332 0.6919
0.6856 0.6964 0.8716
0.6856 0.8036 0.3716
0.8037 0.2353 0.8800
0.8037 0.2647 0.3800
0.9099 0.5680 0.1352
0.9099 0.9320 0.6352
0.9495 0.6709 0.1940
0.9495 0.8291 0.6940
```

=====

> What is the formula in the first record?

Mg6CrCO8